Structure and simulated powder diffraction line list of CaHg2Te (the GGA-PBE geometry in Alexandria; a wavelength of 1.5418 Å).
No peak broadening, texture or thermal motion is included.

Most intense lines, 2θ from 10° to 90°, in order of rising 2θ:
- 2θ = 14.03°, d = 6.314 Å, intensity 53
- 2θ = 28.27°, d = 3.157 Å, intensity 68
- 2θ = 28.69°, d = 3.112 Å, intensity 22
- 2θ = 31.84°, d = 2.811 Å, intensity 100
- 2θ = 32.29°, d = 2.772 Å, intensity 96
- 2θ = 40.95°, d = 2.204 Å, intensity 25
- 2θ = 41.08°, d = 2.197 Å, intensity 34
- 2θ = 50.62°, d = 1.803 Å, intensity 27
- 2θ = 52.03°, d = 1.758 Å, intensity 25
- 2θ = 52.95°, d = 1.729 Å, intensity 24

Structure:
Cell lengths 13.2757, 4.3941, 4.4094 Å; angles 90.00, 107.97, 90.00 degrees
Sites, in units of the cell vectors:
Ca: 0.0000 0.0000 0.0000
Ca: 0.5000 0.5000 0.0000
Hg: 0.2475 0.5000 0.2475
Hg: 0.2525 0.0000 0.7525
Hg: 0.7475 0.0000 0.2475
Hg: 0.7525 0.5000 0.7525
Te: 0.0000 0.5000 0.5000
Te: 0.5000 0.0000 0.5000

---

Structure and simulated powder diffraction line list of In5I2Br3 (the GGA-PBE geometry in Alexandria; a wavelength of 1.5418 Å).
No peak broadening, texture or thermal motion is included.

Most intense lines, 2θ from 10° to 90°, in order of rising 2θ:
- 2θ = 10.26°, d = 8.624 Å, intensity 51
- 2θ = 10.87°, d = 8.138 Å, intensity 59
- 2θ = 19.68°, d = 4.512 Å, intensity 45
- 2θ = 22.14°, d = 4.016 Å, intensity 53
- 2θ = 23.83°, d = 3.734 Å, intensity 80
- 2θ = 24.04°, d = 3.703 Å, intensity 58
- 2θ = 25.58°, d = 3.483 Å, intensity 98
- 2θ = 31.45°, d = 2.845 Å, intensity 100
- 2θ = 33.56°, d = 2.671 Å, intensity 45
- 2θ = 38.37°, d = 2.346 Å, intensity 64

Structure:
Cell lengths 9.3549, 9.3549, 12.4592 Å; angles 115.13, 115.13, 29.04 degrees
Sites, in units of the cell vectors:
In: 0.0000 0.0000 0.0000
In: 0.1716 0.1716 0.8316
In: 0.3921 0.3921 0.5255
In: 0.6079 0.6079 0.4745
In: 0.8284 0.8284 0.1684
I: 0.4970 0.4970 0.2068
I: 0.5030 0.5030 0.7932
Br: 0.0000 0.0000 0.5000
Br: 0.1972 0.1972 0.0897
Br: 0.8028 0.8028 0.9103

---

Structure and simulated powder diffraction line list of LaPr4Dy2Er2 (the GGA-PBE geometry in Alexandria; a wavelength of 1.5418 Å).
No peak broadening, texture or thermal motion is included.

Most intense lines, 2θ from 10° to 90°, in order of rising 2θ:
- 2θ = 30.05°, d = 2.974 Å, intensity 99
- 2θ = 30.18°, d = 2.962 Å, intensity 98
- 2θ = 34.91°, d = 2.570 Å, intensity 100
- 2θ = 50.19°, d = 1.818 Å, intensity 24
- 2θ = 50.22°, d = 1.817 Å, intensity 24
- 2θ = 59.52°, d = 1.553 Å, intensity 29
- 2θ = 59.70°, d = 1.549 Å, intensity 43
- 2θ = 59.77°, d = 1.547 Å, intensity 14
- 2θ = 62.45°, d = 1.487 Å, intensity 12
- 2θ = 84.29°, d = 1.149 Å, intensity 16

Structure:
Cell lengths 8.1268, 8.1268, 8.1194 Å; angles 107.13, 107.13, 36.84 degrees
Sites, in units of the cell vectors:
La: 0.0000 0.0000 0.0000
Pr: 0.2232 0.2232 0.3303
Pr: 0.4457 0.4457 0.6675
Pr: 0.5543 0.5543 0.3325
Pr: 0.7768 0.7768 0.6697
Dy: 0.1116 0.1116 0.6673
Dy: 0.8884 0.8884 0.3327
Er: 0.3307 0.3307 0.0017
Er: 0.6693 0.6693 0.9983

---

Copy entry 3 word for word.
Structure and simulated powder diffraction line list of LaPr4Dy2Er2 (the GGA-PBE geometry in Alexandria; a wavelength of 1.5418 Å).
No peak broadening, texture or thermal motion is included.

Most intense lines, 2θ from 10° to 90°, in order of rising 2θ:
- 2θ = 30.05°, d = 2.974 Å, intensity 99
- 2θ = 30.18°, d = 2.962 Å, intensity 98
- 2θ = 34.91°, d = 2.570 Å, intensity 100
- 2θ = 50.19°, d = 1.818 Å, intensity 24
- 2θ = 50.22°, d = 1.817 Å, intensity 24
- 2θ = 59.52°, d = 1.553 Å, intensity 29
- 2θ = 59.70°, d = 1.549 Å, intensity 43
- 2θ = 59.77°, d = 1.547 Å, intensity 14
- 2θ = 62.45°, d = 1.487 Å, intensity 12
- 2θ = 84.29°, d = 1.149 Å, intensity 16

Structure:
Cell lengths 8.1268, 8.1268, 8.1194 Å; angles 107.13, 107.13, 36.84 degrees
Sites, in units of the cell vectors:
La: 0.0000 0.0000 0.0000
Pr: 0.2232 0.2232 0.3303
Pr: 0.4457 0.4457 0.6675
Pr: 0.5543 0.5543 0.3325
Pr: 0.7768 0.7768 0.6697
Dy: 0.1116 0.1116 0.6673
Dy: 0.8884 0.8884 0.3327
Er: 0.3307 0.3307 0.0017
Er: 0.6693 0.6693 0.9983